NaVBP2H3O10: simulated X-ray powder pattern (copper Kα), based on a DFT-relaxed cell (GGA+U, Alexandria).
Peak positions follow from Bragg's law for the DFT cell and can differ from measured ones.

Cell and atoms:
```
data_NaVBP2H3O10
_cell_length_a 10.5028
_cell_length_b 8.4113
_cell_length_c 9.2586
_cell_angle_alpha 90.00
_cell_angle_beta 115.65
_cell_angle_gamma 90.00
_symmetry_space_group_name_H-M 'C 1 2/c 1'
_symmetry_Int_Tables_number 15
loop_
_symmetry_equiv_pos_as_xyz
'x,y,z'
'-x,-y,-z'
'-x,y,-z+1/2'
'x,-y,z+1/2'
'x+1/2,y+1/2,z'
'-x+1/2,-y+1/2,-z'
'-x+1/2,y+1/2,-z+1/2'
'x+1/2,-y+1/2,z+1/2'
loop_
_atom_site_label
_atom_site_fract_x
_atom_site_fract_y
_atom_site_fract_z
Na1 0.0000 0.1334 0.2500
V1 0.2500 0.2500 0.0000
B1 0.0000 0.4703 0.7500
P1 0.2232 0.0674 0.6768
H1 0.0164 0.3202 0.5802
H2 0.2500 0.2500 0.5000
O1 0.0576 0.3721 0.8980
O2 0.1114 0.4224 0.2517
O3 0.1643 0.1959 0.5422
O4 0.1706 0.1004 0.1125
O5 0.1751 0.1037 0.8080
```

Principal peaks in the range 2θ from 15° to 90°, in order of rising 2θ:
2θ 15.0, I 30, hkl 1 1 -1
2θ 18.7, I 71, hkl 2 0 0
2θ 20.0, I 18, hkl 1 1 1
2θ 21.9, I 46, hkl 1 1 -2
2θ 27.3, I 56, hkl 2 2 -1
2θ 28.9, I 20, hkl 1 1 2
2θ 30.2, I 100, hkl 0 2 2
2θ 30.3, I 28, hkl 2 2 -2
2θ 31.2, I 23, hkl 1 1 -3
2θ 41.7, I 19, hkl 3 1 -4